[1]
Starting from a DFT-relaxed cell (GGA-PBE, OQMD), the PXRD pattern of Ho2Tm2BI5 was calculated for copper Kα.
Peak positions follow from Bragg's law for the DFT cell and can differ from measured ones.

Peak list (10 most intense, 2θ = 10–90°, by angle)
d (Å)  Position (°2θ)  intensity  hkl
8.387  10.55  33.8  0 0 1
3.281  27.18  14.1  3 1 -1
3.171  28.14  41.5  6 0 0
3.031  29.47  21.2  3 1 1
2.935  30.46  100.0  1 1 -2
2.765  32.38  22.3  5 1 0
2.755  32.50  15.4  5 1 -1
2.160  41.82  23.9  5 1 2
2.147  42.08  38.3  2 0 -4
2.011  45.07  19.1  0 2 0

Structural model:
Unit cell a=19.471 b=4.023 c=8.583 alpha=90.00 beta=102.26 gamma=90.00
Space group C2/m (No. 12)
Inequivalent atoms, fractional coordinates:
Ho (0.000, 0.000, 0.194) [4 per cell]
Tm (0.128, 0.500, 0.064) [4 per cell]
B (0.000, 0.500, 0.000) [2 per cell]
I (0.000, 0.500, 0.500) [2 per cell]
I (0.163, 0.000, 0.334) [4 per cell]
I (0.167, 0.000, 0.828) [4 per cell]

[2]
Starting from a DFT-relaxed cell (GGA-PBE, OQMD), the PXRD pattern of Ho2NiB4Ir4 was calculated for copper Kα.
Peak positions follow from Bragg's law for the DFT cell and can differ from measured ones.

Peak list (10 most intense, 2θ = 10–90°, by angle)
d (Å)  Position (°2θ)  intensity  hkl
4.673  18.99  30.2  0 2 0
2.959  30.21  31.4  1 1 3
2.428  37.03  80.7  0 2 4
2.368  38.00  100.0  2 2 0
2.337  38.53  46.6  0 4 0
1.975  45.95  47.6  2 0 4
1.819  50.15  19.3  2 2 4
1.508  61.47  36.7  2 4 4
1.218  78.51  21.3  2 2 8
1.195  80.31  19.2  4 2 4

Structural model:
Unit cell a=5.494 b=9.346 c=11.366 alpha=90.00 beta=90.00 gamma=90.00
Space group Fmmm (No. 69)
Inequivalent atoms, fractional coordinates:
Ho (0.000, 0.000, 0.139) [8 per cell]
Ni (0.000, 0.000, 0.500) [4 per cell]
B (0.000, 0.146, 0.367) [16 per cell]
Ir (0.250, 0.250, 0.000) [8 per cell]
Ir (0.250, 0.250, 0.250) [8 per cell]

[3]
Starting from a DFT-relaxed cell (GGA-PBE, OQMD), the PXRD pattern of Ho2Ni4B4Ir was calculated for copper Kα.
Peak positions follow from Bragg's law for the DFT cell and can differ from measured ones.

Peak list (10 most intense, 2θ = 10–90°, by angle)
d (Å)  Position (°2θ)  intensity  hkl
4.630  19.17  18.1  0 2 0
2.902  30.81  100.0  1 1 3
2.456  36.60  16.5  0 2 4
2.315  38.90  33.8  0 4 0
2.200  41.02  58.6  2 2 0
2.172  41.58  51.0  1 3 3
1.584  58.25  16.7  1 5 3
1.510  61.39  14.2  3 1 3
1.371  68.41  11.6  3 3 3
1.313  71.88  12.0  2 6 0

Structural model:
Unit cell a=5.001 b=9.260 c=11.585 alpha=90.00 beta=90.00 gamma=90.00
Space group Fmmm (No. 69)
Inequivalent atoms, fractional coordinates:
Ho (0.000, 0.000, 0.145) [8 per cell]
Ni (0.250, 0.250, 0.000) [8 per cell]
Ni (0.250, 0.250, 0.250) [8 per cell]
B (0.000, 0.164, 0.368) [16 per cell]
Ir (0.000, 0.000, 0.500) [4 per cell]

[4]
Starting from a DFT-relaxed cell (GGA-PBE, OQMD), the PXRD pattern of SmHoB2P2Ir2 was calculated for copper Kα.
Peak positions follow from Bragg's law for the DFT cell and can differ from measured ones.

Peak list (10 most intense, 2θ = 10–90°, by angle)
d (Å)  Position (°2θ)  intensity  hkl
8.347  10.60  80.6  0 0 1
3.575  24.90  41.8  1 0 1
2.782  32.17  50.2  0 0 3
2.653  33.79  93.9  1 1 1
2.324  38.75  100.0  1 1 2
1.978  45.87  45.4  2 0 0
1.612  57.13  39.5  2 0 3
1.434  65.06  26.6  1 1 5
1.237  77.08  17.9  3 1 1
1.198  80.07  24.8  3 1 2

Structural model:
Unit cell a=3.956 b=3.956 c=8.347 alpha=90.00 beta=90.00 gamma=90.00
Space group P4mm (No. 99)
Inequivalent atoms, fractional coordinates:
Sm (0.000, 0.000, 0.000) [1 per cell]
Ho (0.500, 0.500, 0.389) [1 per cell]
B (0.000, 0.000, 0.584) [1 per cell]
B (0.500, 0.500, 0.810) [1 per cell]
P (0.000, 0.000, 0.347) [1 per cell]
P (0.500, 0.500, 0.051) [1 per cell]
Ir (0.000, 0.500, 0.695) [2 per cell]

[5]
Starting from a DFT-relaxed cell (GGA-PBE, OQMD), the PXRD pattern of KLi2HoB2O6 was calculated for copper Kα.
Peak positions follow from Bragg's law for the DFT cell and can differ from measured ones.

Peak list (10 most intense, 2θ = 10–90°, by angle)
d (Å)  Position (°2θ)  intensity  hkl
5.314  16.68  100.0  1 1 -1
4.948  17.93  56.2  1 1 0
4.734  18.74  72.5  1 0 -2
4.218  21.06  38.7  1 1 -2
4.098  21.68  74.4  0 2 1
3.240  27.53  40.7  2 0 -2
3.054  29.24  83.2  1 2 1
2.901  30.82  35.4  1 0 2
2.691  33.29  53.6  1 2 -3
2.678  33.46  82.0  2 2 -1

Structural model:
Unit cell a=6.640 b=9.283 c=9.913 alpha=90.00 beta=118.27 gamma=90.00
Space group P2_1/c (No. 14)
Inequivalent atoms, fractional coordinates:
K (0.161, 0.125, 0.087) [4 per cell]
Li (0.367, 0.115, 0.450) [4 per cell]
Li (0.424, 0.616, 0.506) [4 per cell]
Ho (0.195, 0.617, 0.158) [4 per cell]
B (0.114, 0.141, 0.762) [4 per cell]
B (0.416, 0.630, 0.784) [4 per cell]
O (0.003, 0.106, 0.606) [4 per cell]
O (0.093, 0.226, 0.317) [4 per cell]
O (0.259, 0.035, 0.859) [4 per cell]
O (0.287, 0.651, 0.628) [4 per cell]
O (0.451, 0.749, 0.876) [4 per cell]
O (0.491, 0.503, 0.149) [4 per cell]

[6]
Starting from a DFT-relaxed cell (GGA-PBE, OQMD), the PXRD pattern of LaHoB4 was calculated for copper Kα.
Peak positions follow from Bragg's law for the DFT cell and can differ from measured ones.

Peak list (10 most intense, 2θ = 10–90°, by angle)
d (Å)  Position (°2θ)  intensity  hkl
4.100  21.68  50.6  0 0 2
2.842  31.48  69.7  1 0 0
2.336  38.54  100.0  1 0 2
2.050  44.18  12.1  0 0 4
1.663  55.25  29.5  1 0 4
1.641  56.05  18.2  1 1 0
1.523  60.81  20.0  1 1 2
1.343  70.09  17.0  2 0 2
1.281  74.00  15.5  1 1 4
1.232  77.50  12.6  1 0 6

Structural model:
Unit cell a=3.2816 b=3.2816 c=8.2002 alpha=90.00 beta=90.00 gamma=120.00
Space group P6/mmm (No. 191)
Inequivalent atoms, fractional coordinates:
La (0.0000, 0.0000, 0.0000) [1 per cell]
Ho (0.0000, 0.0000, 0.5000) [1 per cell]
B (0.3333, 0.6667, 0.2692) [4 per cell]

[7]
Starting from a DFT-relaxed cell (GGA-PBE, OQMD), the PXRD pattern of LiHo3B7 was calculated for copper Kα.
Peak positions follow from Bragg's law for the DFT cell and can differ from measured ones.

Peak list (10 most intense, 2θ = 10–90°, by angle)
d (Å)  Position (°2θ)  intensity  hkl
3.989  22.29  62.2  0 2 2
3.454  25.80  59.1  1 1 0
2.987  29.91  92.6  0 4 2
2.876  31.10  61.8  0 2 3
2.792  32.05  94.4  1 3 1
2.771  32.31  37.3  1 1 2
2.304  39.09  100.0  1 1 3
2.091  43.27  50.1  1 5 2
1.611  57.17  48.1  1 7 3
1.568  58.91  39.4  1 3 5

Structural model:
Unit cell a=3.541 b=15.614 c=9.281 alpha=90.00 beta=90.00 gamma=90.00
Space group Cmcm (No. 63)
Inequivalent atoms, fractional coordinates:
Li (0.000, 0.053, 0.250) [4 per cell]
Ho (0.000, 0.106, 0.561) [8 per cell]
Ho (0.000, 0.240, 0.250) [4 per cell]
B (0.000, 0.275, 0.533) [8 per cell]
B (0.000, 0.370, 0.651) [8 per cell]
B (0.000, 0.461, 0.250) [4 per cell]
B (0.000, 0.481, 0.590) [8 per cell]

[8]
Starting from a DFT-relaxed cell (GGA-PBE, OQMD), the PXRD pattern of Ho2Lu2B3N4 was calculated for copper Kα.
Peak positions follow from Bragg's law for the DFT cell and can differ from measured ones.

Peak list (10 most intense, 2θ = 10–90°, by angle)
d (Å)  Position (°2θ)  intensity  hkl
3.298  27.03  61.0  2 0 -1
3.040  29.38  45.9  3 1 0
2.854  31.35  64.4  8 0 0
2.683  33.40  53.6  5 1 0
2.554  35.14  81.7  6 0 1
2.376  37.86  100.0  1 1 -1
1.927  47.16  26.5  7 1 -1
1.739  52.62  39.4  9 1 -1
1.474  63.05  35.7  14 0 1
1.102  88.81  29.2  14 2 1

Structural model:
Unit cell a=22.830 b=3.316 c=3.445 alpha=90.00 beta=90.06 gamma=90.00
Space group C2/m (No. 12)
Inequivalent atoms, fractional coordinates:
Ho (0.178, 0.000, 0.000) [4 per cell]
Lu (0.071, 0.500, 0.501) [4 per cell]
B (0.000, 0.000, 0.000) [2 per cell]
B (0.232, 0.500, 0.500) [4 per cell]
N (0.065, 0.000, 0.001) [4 per cell]
N (0.166, 0.500, 0.500) [4 per cell]

[9]
Starting from a DFT-relaxed cell (GGA-PBE, OQMD), the PXRD pattern of HoB7Mo3 was calculated for copper Kα.
Peak positions follow from Bragg's law for the DFT cell and can differ from measured ones.

Peak list (10 most intense, 2θ = 10–90°, by angle)
d (Å)  Position (°2θ)  intensity  hkl
3.992  22.27  35.0  1 0 3
3.084  28.95  63.4  1 0 4
2.703  33.15  100.0  2 1 0
2.696  33.23  58.2  4 0 1
2.645  33.90  60.4  2 1 1
2.419  37.17  19.8  3 0 4
2.186  41.29  84.8  1 1 4
2.106  42.94  31.8  3 0 5
2.074  43.65  40.2  3 1 3
1.536  60.27  29.0  6 1 2

Structural model:
Unit cell a=11.031 b=3.100 c=12.848 alpha=90.00 beta=90.00 gamma=90.00
Space group Pnma (No. 62)
Inequivalent atoms, fractional coordinates:
Ho (0.052, 0.250, 0.192) [4 per cell]
B (0.010, 0.750, 0.362) [4 per cell]
B (0.037, 0.750, 0.018) [4 per cell]
B (0.068, 0.750, 0.616) [4 per cell]
B (0.166, 0.750, 0.333) [4 per cell]
B (0.186, 0.750, 0.067) [4 per cell]
B (0.231, 0.750, 0.582) [4 per cell]
B (0.250, 0.250, 0.326) [4 per cell]
Mo (0.118, 0.250, 0.473) [4 per cell]
Mo (0.160, 0.250, 0.935) [4 per cell]
Mo (0.185, 0.250, 0.702) [4 per cell]